Computed PXRD pattern
Compound: Tl3Sn5
Radiation: Cu Kα X-rays
Structure: a structure optimized by DFT (GGA-PBE)

Largest 10 diffraction maxima, most intense first, 2θ from 10° to 80°:
hkl 1 1 5, 2θ 32.85, rel. 100.0; hkl 0 6 2, 2θ 29.42, rel. 99.2; hkl 2 4 0, 2θ 33.23, rel. 74.1; hkl 1 5 3, 2θ 31.81, rel. 61.2; hkl 1 3 5, 2θ 35.31, rel. 56.6; hkl 2 2 2, 2θ 31.56, rel. 53.7; hkl 3 1 3, 2θ 46.25, rel. 32.4; hkl 1 3 3, 2θ 26.11, rel. 30.0; hkl 1 5 5, 2θ 39.84, rel. 21.2; hkl 2 0 2, 2θ 30.22, rel. 17.8

Structure:
abc: 6.4195 19.8652 15.2353
angles: 90.00 90.00 90.00
Space group Fdd2 (No. 43)
One atom of each set of equivalent atoms:
Tl (0.0000, 0.0000, 0.0000)
Tl (0.1254, 0.1688, 0.4475)
Sn (0.0000, 0.0000, 0.4219)
Sn (0.1001, 0.1908, 0.0490)
Sn (0.1024, 0.4226, 0.1000)